(1)
Simulated powder XRD pattern
Compound: PuP2IO8
Radiation: Cu Kα, 1.54184 Å
Structure: a GGA-PBE-relaxed structure

Peak list (10 most intense, 5° ≤ 2θ ≤ 70°, low angle first)
- 9.9 deg, I = 45
- 18.4 deg, I = 100
- 19.2 deg, I = 22
- 20.0 deg, I = 26
- 22.3 deg, I = 24
- 23.4 deg, I = 49
- 25.1 deg, I = 40
- 29.3 deg, I = 44
- 31.8 deg, I = 18
- 33.1 deg, I = 25

Cell and atoms:
```
12
Lattice="4.8383 -2.8174 0.0000 4.8383 2.8174 0.0000 -2.6770 0.0000 8.8913" Properties=species:S:1:pos:R:3 pbc="T T T"
Pu 0.0000 0.0000 0.0000
P 0.6141 0.0000 7.1624
P 6.3855 0.0000 1.7289
I -1.3385 0.0000 4.4457
O 1.4169 1.2608 7.5677
O -0.7602 0.0000 7.8724
O 0.4645 0.0000 5.6205
O 5.5827 1.2608 1.3236
O 1.4169 -1.2608 7.5677
O 6.5351 0.0000 3.2708
O 7.7599 0.0000 1.0189
O 5.5827 -1.2608 1.3236
```

(2)
Simulated powder XRD pattern
Compound: Sr2PIO4
Radiation: Cu Kα, 1.54184 Å
Structure: a GGA-PBE-relaxed structure

Peak list (10 most intense, 5° ≤ 2θ ≤ 70°, low angle first)
- 22.7 deg, I = 21
- 24.0 deg, I = 46
- 26.7 deg, I = 100
- 27.7 deg, I = 27
- 30.1 deg, I = 21
- 31.1 deg, I = 24
- 35.0 deg, I = 20
- 36.2 deg, I = 25
- 37.4 deg, I = 18
- 41.9 deg, I = 20

Cell and atoms:
```
32
Lattice="9.3551 0.0000 0.0000 0.0000 9.0153 0.0000 -3.2902 0.0000 7.9028" Properties=species:S:1:pos:R:3 pbc="T T T"
Sr 1.2140 1.7736 0.3000
Sr -0.4311 2.7341 4.2514
Sr -0.8372 6.0496 7.5339
Sr 0.8079 7.4733 3.5825
Sr 5.2569 1.5420 4.3203
Sr 6.9020 2.9656 0.3689
Sr 6.4960 6.2812 3.6514
Sr 4.8509 7.2417 7.6028
P -0.3916 4.9802 1.9204
P -2.0367 8.5427 5.8718
P 8.1015 0.4726 2.0310
P 6.4564 4.0351 5.9824
I 2.1880 1.0303 5.7778
I 3.8331 3.4773 1.8264
I 2.2317 5.5379 6.0764
I 3.8768 7.9850 2.1250
O -1.6777 1.0140 5.6439
O -0.0326 3.4937 1.6925
O -0.4545 5.2492 3.4567
O -2.0996 8.2737 7.4081
O 0.6174 5.9968 1.3172
O -1.0277 7.5261 5.2686
O 0.1648 0.7274 2.6487
O -1.4803 3.7802 6.6001
O 7.5451 5.2350 1.3027
O 5.9000 8.2879 5.2540
O 7.0926 1.4891 2.6342
O 5.4475 3.0185 6.5856
O 8.1644 0.7416 0.4947
O 6.5193 3.7660 4.4461
O 6.0974 5.5216 6.2103
O 7.7425 8.0013 2.2589
```

(3)
Simulated powder XRD pattern
Compound: Pa3I2O6
Radiation: Cu Kα, 1.54184 Å
Structure: a GGA-PBE-relaxed structure

Peak list (10 most intense, 5° ≤ 2θ ≤ 70°, low angle first)
- 20.8 deg, I = 68
- 24.0 deg, I = 27
- 24.6 deg, I = 35
- 30.0 deg, I = 100
- 31.9 deg, I = 51
- 36.4 deg, I = 26
- 38.8 deg, I = 24
- 47.8 deg, I = 18
- 54.2 deg, I = 25
- 55.1 deg, I = 22

Cell and atoms:
```
11
Lattice="8.5603 0.0000 0.0000 -4.2801 7.4134 0.0000 0.0000 0.0000 4.1467" Properties=species:S:1:pos:R:3 pbc="T T T"
Pa -3.1392 5.4372 0.0000
Pa 1.1409 1.9762 0.0000
Pa 6.2784 0.0000 0.0000
I 0.0000 4.9423 2.0733
I 4.2801 2.4711 2.0733
O -0.9238 1.6001 0.0000
O -3.2473 5.6245 2.0733
O 1.8476 0.0000 0.0000
O 1.0328 1.7889 2.0733
O 6.4946 0.0000 2.0733
O 3.3563 5.8133 0.0000
```